1.
# Ba3SmInS6
Calculated X-ray diffraction stick pattern, Cu Kα X-rays. Input: DFT lattice parameters and positions (GGA-PBE).
Neutral-atom scattering factors, no anomalous dispersion.

Largest 10 diffraction maxima, by angle, 2θ from 15° to 90°:
23.94°, I 64; 25.14°, I 100; 30.56°, I 43; 31.01°, I 42; 33.95°, I 43; 34.99°, I 49; 39.15°, I 26; 44.57°, I 16; 45.32°, I 43; 67.21°, I 23

Structural model:
Cell: 8.4860 8.4860 8.4860 Å, 92.59 92.59 92.59°
Atoms (fractional coordinates):
Ba (0.1299, 0.7500, 0.3701)
Ba (0.2500, 0.6299, 0.8701)
Ba (0.3701, 0.1299, 0.7500)
Ba (0.6299, 0.8701, 0.2500)
Ba (0.7500, 0.3701, 0.1299)
Ba (0.8701, 0.2500, 0.6299)
Sm (0.2500, 0.2500, 0.2500)
Sm (0.7500, 0.7500, 0.7500)
In (0.0000, 0.0000, 0.0000)
In (0.5000, 0.5000, 0.5000)
S (0.0413, 0.9107, 0.7004)
S (0.0893, 0.2996, 0.9587)
S (0.2004, 0.4107, 0.5413)
S (0.2996, 0.9587, 0.0893)
S (0.4107, 0.5413, 0.2004)
S (0.4587, 0.7996, 0.5893)
S (0.5413, 0.2004, 0.4107)
S (0.5893, 0.4587, 0.7996)
S (0.7004, 0.0413, 0.9107)
S (0.7996, 0.5893, 0.4587)
S (0.9107, 0.7004, 0.0413)
S (0.9587, 0.0893, 0.2996)



2.
# SrCa2Sc6O12
Calculated X-ray diffraction stick pattern, Cu Kα X-rays. Input: DFT lattice parameters and positions (GGA-PBE).
Neutral-atom scattering factors, no anomalous dispersion.

Largest 10 diffraction maxima, by angle, 2θ from 15° to 90°:
29.95°, I 17; 31.91°, I 100; 33.60°, I 50; 38.58°, I 13; 40.03°, I 50; 47.03°, I 45; 48.32°, I 16; 56.86°, I 24; 57.95°, I 35; 66.70°, I 13

Structural model:
Cell: 9.7155 9.7155 3.1910 Å, 90.00 90.00 120.00°
Atoms (fractional coordinates):
Sr (0.0000, 0.0000, 0.0000)
Ca (0.3333, 0.6667, 0.2480)
Ca (0.6667, 0.3333, 0.7520)
Sc (0.0018, 0.6518, 0.2556)
Sc (0.3482, 0.3501, 0.2556)
Sc (0.3501, 0.0018, 0.7444)
Sc (0.6499, 0.9982, 0.2556)
Sc (0.6518, 0.6499, 0.7444)
Sc (0.9982, 0.3482, 0.7444)
O (0.1076, 0.2980, 0.2465)
O (0.1275, 0.6020, 0.7496)
O (0.1904, 0.8924, 0.2465)
O (0.2980, 0.1904, 0.7535)
O (0.3980, 0.5255, 0.7496)
O (0.4745, 0.8725, 0.7496)
O (0.5255, 0.1275, 0.2504)
O (0.6020, 0.4745, 0.2504)
O (0.7020, 0.8096, 0.2465)
O (0.8096, 0.1076, 0.7535)
O (0.8725, 0.3980, 0.2504)
O (0.8924, 0.7020, 0.7535)



3.
# Al3Ag5
Calculated X-ray diffraction stick pattern, Cu Kα X-rays. Input: DFT lattice parameters and positions (GGA-PBE).
Neutral-atom scattering factors, no anomalous dispersion.

Largest 10 diffraction maxima, by angle, 2θ from 15° to 90°:
15.09°, I 28; 27.57°, I 27; 37.89°, I 100; 38.46°, I 91; 43.09°, I 66; 46.86°, I 27; 65.54°, I 35; 75.16°, I 24; 76.26°, I 22; 80.98°, I 20

Structural model:
Cell: 4.9048 4.9048 5.8713 Å, 90.00 90.00 104.47°
Atoms (fractional coordinates):
Al (0.0000, 0.0000, 0.0000)
Al (0.0000, 0.5000, 0.7296)
Al (0.5000, 0.0000, 0.7296)
Ag (0.0000, 0.0000, 0.5063)
Ag (0.0000, 0.5000, 0.2233)
Ag (0.5000, 0.0000, 0.2233)
Ag (0.5000, 0.5000, 0.4891)
Ag (0.5000, 0.5000, 0.9692)



4.
# BaHgRuO6
Calculated X-ray diffraction stick pattern, Cu Kα X-rays. Input: DFT lattice parameters and positions (GGA-PBE).
Neutral-atom scattering factors, no anomalous dispersion.

Largest 10 diffraction maxima, by angle, 2θ from 15° to 90°:
17.13°, I 99; 23.11°, I 100; 24.49°, I 62; 24.79°, I 45; 25.13°, I 55; 25.48°, I 45; 28.95°, I 67; 30.13°, I 49; 31.07°, I 55; 34.62°, I 56

Structural model:
Cell: 5.2073 5.7775 5.9531 Å, 116.19 91.81 94.05°
Atoms (fractional coordinates):
Ba (0.0000, 0.0000, 0.0000)
Hg (0.4450, 0.7360, 0.3808)
Ru (0.4429, 0.4159, 0.7472)
O (0.1692, 0.4765, 0.9389)
O (0.2685, 0.6956, 0.6601)
O (0.2849, 0.1728, 0.4560)
O (0.5863, 0.1957, 0.8402)
O (0.6089, 0.7409, 0.0781)
O (0.7120, 0.5276, 0.6326)



5.
# Zn3Se
Calculated X-ray diffraction stick pattern, Cu Kα X-rays. Input: DFT lattice parameters and positions (GGA-PBE).
Neutral-atom scattering factors, no anomalous dispersion.

Largest 10 diffraction maxima, by angle, 2θ from 15° to 90°:
22.60°, I 31; 31.23°, I 60; 37.29°, I 38; 43.32°, I 26; 44.04°, I 100; 46.15°, I 21; 60.76°, I 17; 63.49°, I 16; 83.98°, I 22; 87.85°, I 19

Structural model:
Cell: 4.8233 4.8233 3.9339 Å, 90.00 90.00 120.00°
Atoms (fractional coordinates):
Zn (0.0000, 0.3859, 0.0000)
Zn (0.3859, 0.0000, 0.0000)
Zn (0.6141, 0.6141, 0.0000)
Se (0.0000, 0.0000, 0.5000)



6.
# Sr6Hg2Au
Calculated X-ray diffraction stick pattern, Cu Kα X-rays. Input: DFT lattice parameters and positions (GGA-PBE).
Neutral-atom scattering factors, no anomalous dispersion.

Largest 10 diffraction maxima, by angle, 2θ from 15° to 90°:
21.83°, I 37; 22.28°, I 40; 24.99°, I 46; 26.77°, I 100; 27.91°, I 40; 28.40°, I 84; 31.22°, I 46; 31.34°, I 56; 33.46°, I 69; 40.94°, I 39

Structural model:
Cell: 7.5505 8.5928 13.5584 Å, 90.00 122.31 90.00°
Atoms (fractional coordinates):
Sr (0.0967, 0.1818, 0.4369)
Sr (0.0967, 0.3182, 0.9369)
Sr (0.2707, 0.6785, 0.4310)
Sr (0.2707, 0.8215, 0.9310)
Sr (0.3974, 0.0376, 0.2479)
Sr (0.3974, 0.4624, 0.7479)
Sr (0.6026, 0.5376, 0.2521)
Sr (0.6026, 0.9624, 0.7521)
Sr (0.7293, 0.1785, 0.0690)
Sr (0.7293, 0.3215, 0.5690)
Sr (0.9033, 0.6818, 0.0631)
Sr (0.9033, 0.8182, 0.5631)
Hg (0.1822, 0.1195, 0.7421)
Hg (0.1822, 0.3805, 0.2421)
Hg (0.8178, 0.6195, 0.7579)
Hg (0.8178, 0.8805, 0.2579)
Au (0.5000, 0.0000, 0.5000)
Au (0.5000, 0.5000, 0.0000)